(1)
Simulated powder diffractogram of AuCl2F for Cu Ka, from a cell relaxed with GGA-PBE.

Principal peaks in the range 10 to 80 degrees two-theta, by angle:
two_theta  I/Imax
14.79  100
21.88  52
22.00  50
23.90  24
26.03  19
30.26  37
35.25  24
41.98  15

Crystal structure
a b c (Å): 3.7747 4.3050 6.4252
angles (deg): 109.10 98.88 90.03
Element x y z (fractional)
Au1 0.0000 0.0000 0.0000
Cl1 0.3527 0.8629 0.7184
Cl2 0.6473 0.1371 0.2816
F1 0.0000 0.5000 0.0000



(2)
Simulated powder diffractogram of Ba4Ga3Si20 for Cu Ka, from a cell relaxed with GGA-PBE.

Principal peaks in the range 10 to 80 degrees two-theta, by angle:
two_theta  I/Imax
20.76  32
29.52  37
30.76  21
31.95  100
34.22  31
52.38  16
53.93  40
65.44  16

Crystal structure
a b c (Å): 10.4812 10.4812 10.4812
angles (deg): 90.00 90.00 90.00
Element x y z (fractional)
Ba1 0.0000 0.0000 0.0000
Ba2 0.0000 0.2500 0.5000
Ba3 0.0000 0.7500 0.5000
Ba4 0.2500 0.5000 0.0000
Ba5 0.5000 0.0000 0.2500
Ba6 0.5000 0.0000 0.7500
Ba7 0.5000 0.5000 0.5000
Ba8 0.7500 0.5000 0.0000
Ga1 0.0000 0.5000 0.2500
Ga2 0.0000 0.5000 0.7500
Ga3 0.2500 0.0000 0.5000
Ga4 0.5000 0.2500 0.0000
Ga5 0.5000 0.7500 0.0000
Ga6 0.7500 0.0000 0.5000
Si1 0.0000 0.3026 0.1172
Si2 0.0000 0.3026 0.8828
Si3 0.0000 0.6974 0.1172
Si4 0.0000 0.6974 0.8828
Si5 0.1172 0.0000 0.3026
Si6 0.1172 0.0000 0.6974
Si7 0.1852 0.1852 0.1852
Si8 0.1852 0.1852 0.8148
Si9 0.1852 0.8148 0.1852
Si10 0.1852 0.8148 0.8148
Si11 0.1974 0.5000 0.3828
Si12 0.1974 0.5000 0.6172
Si13 0.3026 0.1172 0.0000
Si14 0.3026 0.8828 0.0000
Si15 0.3148 0.3148 0.3148
Si16 0.3148 0.3148 0.6852
Si17 0.3148 0.6852 0.3148
Si18 0.3148 0.6852 0.6852
Si19 0.3828 0.1974 0.5000
Si20 0.3828 0.8026 0.5000
Si21 0.5000 0.3828 0.1974
Si22 0.5000 0.3828 0.8026
Si23 0.5000 0.6172 0.1974
Si24 0.5000 0.6172 0.8026
Si25 0.6172 0.1974 0.5000
Si26 0.6172 0.8026 0.5000
Si27 0.6852 0.3148 0.3148
Si28 0.6852 0.3148 0.6852
Si29 0.6852 0.6852 0.3148
Si30 0.6852 0.6852 0.6852
Si31 0.6974 0.1172 0.0000
Si32 0.6974 0.8828 0.0000
Si33 0.8026 0.5000 0.3828
Si34 0.8026 0.5000 0.6172
Si35 0.8148 0.1852 0.1852
Si36 0.8148 0.1852 0.8148
Si37 0.8148 0.8148 0.1852
Si38 0.8148 0.8148 0.8148
Si39 0.8828 0.0000 0.3026
Si40 0.8828 0.0000 0.6974



(3)
Simulated powder diffractogram of Y2Er8Sc3 for Cu Ka, from a cell relaxed with GGA-PBE.

Principal peaks in the range 10 to 80 degrees two-theta, by angle:
two_theta  I/Imax
11.93  20
24.80  25
28.66  20
32.06  45
32.77  100
33.77  18
35.02  26
62.64  24

Crystal structure
a b c (Å): 8.4752 8.4752 6.5105
angles (deg): 97.23 97.23 61.37
Element x y z (fractional)
Y1 0.2023 0.2023 0.2812
Y2 0.7977 0.7977 0.7188
Er1 0.1940 0.1940 0.7859
Er2 0.2089 0.5741 0.5737
Er3 0.4134 0.4134 0.1148
Er4 0.4259 0.7911 0.4263
Er5 0.5741 0.2089 0.5737
Er6 0.5866 0.5866 0.8852
Er7 0.7911 0.4259 0.4263
Er8 0.8060 0.8060 0.2141
Sc1 0.0000 0.0000 0.5000
Sc2 0.1640 0.8360 0.0000
Sc3 0.8360 0.1640 0.0000



(4)
Simulated powder diffractogram of CdAgSn2 for Cu Ka, from a cell relaxed with GGA-PBE.

Principal peaks in the range 10 to 80 degrees two-theta, by angle:
two_theta  I/Imax
32.01  56
32.46  41
32.80  100
35.07  45
38.99  29
42.33  96
57.69  46
67.52  38

Crystal structure
a b c (Å): 3.1957 3.1957 33.5561
angles (deg): 90.00 90.00 120.00
Element x y z (fractional)
Cd1 0.0000 0.0000 0.0000
Cd2 0.3333 0.6667 0.6667
Cd3 0.6667 0.3333 0.3333
Ag1 0.0000 0.0000 0.5000
Ag2 0.3333 0.6667 0.1667
Ag3 0.6667 0.3333 0.8333
Sn1 0.0000 0.0000 0.0933
Sn2 0.0000 0.0000 0.9067
Sn3 0.3333 0.6667 0.5733
Sn4 0.3333 0.6667 0.7600
Sn5 0.6667 0.3333 0.2400
Sn6 0.6667 0.3333 0.4267



(5)
Simulated powder diffractogram of BaGe2F8 for Cu Ka, from a cell relaxed with GGA-PBE.

Principal peaks in the range 10 to 80 degrees two-theta, by angle:
two_theta  I/Imax
24.17  100
25.84  81
32.68  11
35.65  16
42.49  14
43.59  20
46.56  22
49.55  19

Crystal structure
a b c (Å): 4.0976 7.3589 7.3597
angles (deg): 60.15 89.94 89.80
Element x y z (fractional)
Ba1 0.0000 0.0000 0.0000
Ge1 0.2960 0.3328 0.3339
Ge2 0.7040 0.6672 0.6661
F1 0.2122 0.6676 0.6657
F2 0.2899 0.6312 0.1900
F3 0.2916 0.1780 0.6328
F4 0.2922 0.1904 0.1771
F5 0.7078 0.8096 0.8229
F6 0.7084 0.8220 0.3672
F7 0.7101 0.3688 0.8100
F8 0.7878 0.3324 0.3343



(6)
Simulated powder diffractogram of Pu4Pa3Ge4 for Cu Ka, from a cell relaxed with GGA-PBE.

Principal peaks in the range 10 to 80 degrees two-theta, by angle:
two_theta  I/Imax
14.84  37
25.85  51
29.93  76
33.56  100
36.88  41
39.95  61
45.58  43
62.19  36

Crystal structure
a b c (Å): 7.3124 7.3124 7.3124
angles (deg): 109.47 109.47 109.47
Element x y z (fractional)
Pu1 0.0000 0.0000 0.7443
Pu2 0.0000 0.7443 0.0000
Pu3 0.2557 0.2557 0.2557
Pu4 0.7443 0.0000 0.0000
Pa1 0.0000 0.5000 0.5000
Pa2 0.5000 0.0000 0.5000
Pa3 0.5000 0.5000 0.0000
Ge1 0.0000 0.0000 0.3873
Ge2 0.0000 0.3873 0.0000
Ge3 0.3873 0.0000 0.0000
Ge4 0.6127 0.6127 0.6127